Starting from a GGA-PBE-relaxed structure, the XRD peak list of Li2Pr2SmBi2 was simulated for Cu Kα (weighted mean of Kα1 and Kα2).
Intensities are scaled so that the largest is 100.

Principal peaks in the range 5° ≤ 2θ ≤ 70°, by angle:
2θ = 21.07°, intensity 46; 2θ = 21.79°, intensity 35; 2θ = 30.72°, intensity 100; 2θ = 33.20°, intensity 83; 2θ = 36.49°, intensity 100; 2θ = 48.42°, intensity 29; 2θ = 62.11°, intensity 27; 2θ = 62.63°, intensity 41

Cell lengths 4.9252, 4.9252, 27.8751 Å; angles 90.00, 90.00, 120.00 degrees
Space group R-3m (No. 166, hexagonal axes)
One atom of each set of equivalent atoms:
1 Li 0.0000 0.0000 0.0946 x6
2 Pr 0.0000 0.0000 0.3701 x6
3 Sm 0.0000 0.0000 0.5000 x3
4 Bi 0.0000 0.0000 0.2325 x6